[1]
This entry pairs a crystal structure of MgCu4O8 with its computed powder diffraction line list. Radiation: Cu Kα (λ = 1.5418 Å). Structure: a crystal structure in the Materials Project, relaxed with PBE.
Lines closer than 0.1° are merged.

Most intense lines, 10 to 90 degrees two-theta, low angle first:
d = 4.817 Å, I 100
d = 2.516 Å, I 66
d = 2.409 Å, I 20
d = 2.086 Å, I 55
d = 1.914 Å, I 12
d = 1.606 Å, I 28
d = 1.475 Å, I 39
d = 1.410 Å, I 15
d = 1.272 Å, I 7
d = 1.258 Å, I 10
d = 1.204 Å, I 9
d = 1.168 Å, I 7

Cell and atoms:
Cell: 5.899 5.899 5.899 Å, 119.96 119.96 90.07°
Element x y z (fractional)
Mg 0.000 0.000 0.000
Cu 0.376 0.127 0.751
Cu 0.376 0.624 0.249
Cu 0.376 0.624 0.751
Cu 0.873 0.624 0.249
O 0.137 0.862 0.275
O 0.138 0.413 0.275
O 0.138 0.863 0.725
O 0.173 0.391 0.782
O 0.587 0.862 0.725
O 0.609 0.391 0.218
O 0.609 0.391 0.782
O 0.609 0.827 0.218



[2]
This entry pairs a crystal structure of MgCu2O2 with its computed powder diffraction line list. Radiation: Cu Kα (λ = 1.5418 Å). Structure: a crystal structure in the Materials Project, relaxed with PBE.
Lines closer than 0.1° are merged.

Most intense lines, 10 to 90 degrees two-theta, low angle first:
d = 6.955 Å, I 26
d = 2.873 Å, I 36
d = 2.857 Å, I 29
d = 2.491 Å, I 98
d = 2.460 Å, I 100
d = 2.318 Å, I 47
d = 2.070 Å, I 72
d = 1.655 Å, I 12
d = 1.560 Å, I 17
d = 1.544 Å, I 34
d = 1.529 Å, I 17
d = 1.464 Å, I 29

Cell and atoms:
Cell: 2.928 2.928 7.218 Å, 100.92 100.92 89.97°
Element x y z (fractional)
Mg 0.000 0.000 0.000
Cu 0.348 0.346 0.682
Cu 0.654 0.652 0.318
O 0.239 0.761 0.500
O 0.500 0.500 0.000



[3]
This entry pairs a crystal structure of MgCuO3 with its computed powder diffraction line list. Radiation: Cu Kα (λ = 1.5418 Å). Structure: a crystal structure in the Materials Project, relaxed with PBE.
Lines closer than 0.1° are merged.

Most intense lines, 10 to 90 degrees two-theta, low angle first:
d = 3.731 Å, I 76
d = 2.638 Å, I 100
d = 1.866 Å, I 55
d = 1.669 Å, I 25
d = 1.523 Å, I 37
d = 1.319 Å, I 29
d = 1.244 Å, I 10
d = 1.180 Å, I 15

Cell and atoms:
Cell: 3.731 3.731 3.731 Å, 90.00 90.00 90.00°
Element x y z (fractional)
Mg 0.000 0.000 0.000
Cu 0.500 0.500 0.500
O 0.000 0.500 0.500
O 0.500 0.000 0.500
O 0.500 0.500 0.000



[4]
This entry pairs a crystal structure of MgCu2O4 with its computed powder diffraction line list. Radiation: Cu Kα (λ = 1.5418 Å). Structure: a crystal structure in the Materials Project, relaxed with PBE.
Lines closer than 0.1° are merged.

Most intense lines, 10 to 90 degrees two-theta, low angle first:
d = 4.831 Å, I 78
d = 2.584 Å, I 23
d = 2.494 Å, I 100
d = 2.415 Å, I 47
d = 2.162 Å, I 16
d = 2.059 Å, I 24
d = 1.658 Å, I 16
d = 1.610 Å, I 12
d = 1.588 Å, I 16
d = 1.491 Å, I 27
d = 1.292 Å, I 14
d = 1.247 Å, I 21

Cell and atoms:
Cell: 5.972 5.972 5.972 Å, 121.63 121.63 87.19°
Element x y z (fractional)
Mg 0.375 0.125 0.250
Mg 0.625 0.875 0.750
Cu 0.000 0.000 0.500
Cu 0.000 0.500 0.000
Cu 0.000 0.500 0.500
Cu 0.500 0.500 0.000
O 0.107 0.727 0.922
O 0.227 0.804 0.619
O 0.304 0.185 0.578
O 0.315 0.393 0.119
O 0.685 0.607 0.881
O 0.696 0.815 0.422
O 0.773 0.196 0.381
O 0.893 0.273 0.078



[5]
This entry pairs a crystal structure of MgCu4O8 with its computed powder diffraction line list. Radiation: Cu Kα (λ = 1.5418 Å). Structure: a crystal structure in the Materials Project, relaxed with PBE.
Lines closer than 0.1° are merged.

Most intense lines, 10 to 90 degrees two-theta, low angle first:
d = 4.827 Å, I 84
d = 4.712 Å, I 64
d = 2.526 Å, I 25
d = 2.509 Å, I 24
d = 2.477 Å, I 11
d = 2.413 Å, I 28
d = 2.077 Å, I 100
d = 1.587 Å, I 10
d = 1.482 Å, I 29
d = 1.456 Å, I 26
d = 1.414 Å, I 10
d = 1.207 Å, I 13

Cell and atoms:
Cell: 5.824 5.824 5.824 Å, 61.20 61.20 61.20°
Element x y z (fractional)
Mg 0.000 0.000 0.000
Cu 0.000 0.500 0.500
Cu 0.500 0.000 0.500
Cu 0.500 0.500 0.000
Cu 0.500 0.500 0.500
O 0.254 0.254 0.714
O 0.254 0.714 0.254
O 0.264 0.264 0.264
O 0.286 0.746 0.746
O 0.714 0.254 0.254
O 0.736 0.736 0.736
O 0.746 0.286 0.746
O 0.746 0.746 0.286



[6]
This entry pairs a crystal structure of MgCu2O4 with its computed powder diffraction line list. Radiation: Cu Kα (λ = 1.5418 Å). Structure: a crystal structure in the Materials Project, relaxed with PBE.
Lines closer than 0.1° are merged.

Most intense lines, 10 to 90 degrees two-theta, low angle first:
d = 7.363 Å, I 60
d = 6.064 Å, I 29
d = 4.350 Å, I 77
d = 3.787 Å, I 34
d = 3.032 Å, I 100
d = 2.769 Å, I 30
d = 2.472 Å, I 39
d = 2.465 Å, I 38
d = 2.397 Å, I 33
d = 1.737 Å, I 29
d = 1.732 Å, I 28
d = 1.558 Å, I 27

Cell and atoms:
Cell: 2.880 7.328 7.899 Å, 69.85 79.86 78.87°
Element x y z (fractional)
Mg 0.000 0.000 0.000
Mg 0.358 0.615 0.661
Cu 0.067 0.217 0.640
Cu 0.292 0.397 0.022
Cu 0.538 0.627 0.308
Cu 0.825 0.984 0.354
O 0.128 0.596 0.160
O 0.235 0.011 0.505
O 0.451 0.914 0.189
O 0.543 0.382 0.522
O 0.545 0.096 0.808
O 0.813 0.520 0.852
O 0.816 0.231 0.140
O 0.908 0.699 0.473



[7]
This entry pairs a crystal structure of MgCu2O4 with its computed powder diffraction line list. Radiation: Cu Kα (λ = 1.5418 Å). Structure: a crystal structure in the Materials Project, relaxed with PBE.
Lines closer than 0.1° are merged.

Most intense lines, 10 to 90 degrees two-theta, low angle first:
d = 7.363 Å, I 60
d = 4.350 Å, I 73
d = 3.787 Å, I 33
d = 3.032 Å, I 100
d = 2.769 Å, I 33
d = 2.517 Å, I 33
d = 2.468 Å, I 78
d = 2.397 Å, I 33
d = 2.376 Å, I 36
d = 2.107 Å, I 40
d = 1.747 Å, I 50
d = 1.734 Å, I 59

Cell and atoms:
Cell: 7.333 7.333 8.730 Å, 121.79 121.79 22.65°
Element x y z (fractional)
Mg 0.000 0.000 0.000
Mg 0.634 0.634 0.661
Cu 0.171 0.171 0.353
Cu 0.463 0.463 0.308
Cu 0.710 0.710 0.021
Cu 0.925 0.925 0.640
O 0.082 0.082 0.473
O 0.182 0.182 0.140
O 0.186 0.186 0.853
O 0.448 0.448 0.808
O 0.452 0.452 0.521
O 0.552 0.552 0.188
O 0.760 0.760 0.501
O 0.880 0.880 0.156



[8]
This entry pairs a crystal structure of MgCu2O2 with its computed powder diffraction line list. Radiation: Cu Kα (λ = 1.5418 Å). Structure: a crystal structure in the Materials Project, relaxed with PBE.
Lines closer than 0.1° are merged.

Most intense lines, 10 to 90 degrees two-theta, low angle first:
d = 4.638 Å, I 57
d = 3.611 Å, I 94
d = 3.529 Å, I 100
d = 2.795 Å, I 68
d = 2.524 Å, I 75
d = 2.415 Å, I 91
d = 2.319 Å, I 89
d = 1.839 Å, I 83
d = 1.816 Å, I 80
d = 1.806 Å, I 19
d = 1.716 Å, I 34
d = 1.699 Å, I 19

Cell and atoms:
Cell: 2.829 4.639 5.591 Å, 91.34 90.11 90.00°
Element x y z (fractional)
Mg 0.000 0.000 0.000
Cu 0.000 0.000 0.500
Cu 0.500 0.500 0.000
O 0.500 0.015 0.254
O 0.500 0.985 0.746



Please write out number 8 again, unchanged.
This entry pairs a crystal structure of MgCu2O2 with its computed powder diffraction line list. Radiation: Cu Kα (λ = 1.5418 Å). Structure: a crystal structure in the Materials Project, relaxed with PBE.
Lines closer than 0.1° are merged.

Most intense lines, 10 to 90 degrees two-theta, low angle first:
d = 4.638 Å, I 57
d = 3.611 Å, I 94
d = 3.529 Å, I 100
d = 2.795 Å, I 68
d = 2.524 Å, I 75
d = 2.415 Å, I 91
d = 2.319 Å, I 89
d = 1.839 Å, I 83
d = 1.816 Å, I 80
d = 1.806 Å, I 19
d = 1.716 Å, I 34
d = 1.699 Å, I 19

Cell and atoms:
Cell: 2.829 4.639 5.591 Å, 91.34 90.11 90.00°
Element x y z (fractional)
Mg 0.000 0.000 0.000
Cu 0.000 0.000 0.500
Cu 0.500 0.500 0.000
O 0.500 0.015 0.254
O 0.500 0.985 0.746



What did the seventh record say?
This entry pairs a crystal structure of MgCu2O4 with its computed powder diffraction line list. Radiation: Cu Kα (λ = 1.5418 Å). Structure: a crystal structure in the Materials Project, relaxed with PBE.
Lines closer than 0.1° are merged.

Most intense lines, 10 to 90 degrees two-theta, low angle first:
d = 7.363 Å, I 60
d = 4.350 Å, I 73
d = 3.787 Å, I 33
d = 3.032 Å, I 100
d = 2.769 Å, I 33
d = 2.517 Å, I 33
d = 2.468 Å, I 78
d = 2.397 Å, I 33
d = 2.376 Å, I 36
d = 2.107 Å, I 40
d = 1.747 Å, I 50
d = 1.734 Å, I 59

Cell and atoms:
Cell: 7.333 7.333 8.730 Å, 121.79 121.79 22.65°
Element x y z (fractional)
Mg 0.000 0.000 0.000
Mg 0.634 0.634 0.661
Cu 0.171 0.171 0.353
Cu 0.463 0.463 0.308
Cu 0.710 0.710 0.021
Cu 0.925 0.925 0.640
O 0.082 0.082 0.473
O 0.182 0.182 0.140
O 0.186 0.186 0.853
O 0.448 0.448 0.808
O 0.452 0.452 0.521
O 0.552 0.552 0.188
O 0.760 0.760 0.501
O 0.880 0.880 0.156